For LiMnO2, a GGA+U-relaxed structure gives the calculated powder diffraction line list in this record (Cu Kα).
Peak positions follow from Bragg's law for the DFT cell and can differ from measured ones.

Principal peaks in the range 2θ from 10° to 80°, sorted by position:
Position (°2θ)  I/Imax  index
17.63  100  0 0 2
33.86  21  1 1 -1
36.19  37  1 1 1
40.55  39  1 1 -3
40.59  18  0 2 2
46.35  16  1 1 3
51.79  19  0 2 4
53.49  11  1 1 -5
58.95  10  2 0 0
61.36  9  1 1 5
63.70  9  1 3 -1
65.16  9  1 3 1

Cell and atoms:
```
data_LiMnO2
_chemical_formula_sum 'Li4 Mn4 O8'
_symmetry_space_group_name_H-M 'C 1 2/c 1'
_symmetry_Int_Tables_number 15
_symmetry_space_group_name_Hall '-C 2yc'
_cell_length_a 3.172
_cell_length_b 4.955
_cell_length_c 10.184
_cell_angle_alpha 90.00
_cell_angle_beta 98.83
_cell_angle_gamma 90.00
loop_
_atom_site_label
_atom_site_type_symbol
_atom_site_fract_x
_atom_site_fract_y
_atom_site_fract_z
Li1 Li 0.000 0.157 0.250
Mn1 Mn 0.250 0.250 0.000
O1 O 0.236 0.070 0.612
```


For Ca3Mn3As4O16, a GGA+U-relaxed structure gives the calculated powder diffraction line list in this record (Cu Kα).
Peak positions follow from Bragg's law for the DFT cell and can differ from measured ones.

Principal peaks in the range 2θ from 10° to 80°, sorted by position:
Position (°2θ)  I/Imax  index
11.48  64  1 0 -2
17.81  35  0 1 1
21.49  49  2 0 0
22.60  36  0 0 4
22.90  49  1 1 -3
23.07  35  2 0 -4
25.96  100  2 1 -1
29.38  77  1 1 3
30.57  54  1 1 -5
33.19  32  0 1 5
33.72  98  3 1 -3
34.16  75  0 2 0

Cell and atoms:
```
data_Ca3Mn3As4O16
_chemical_formula_sum 'Ca6 Mn6 As8 O32'
_symmetry_space_group_name_H-M 'P 1 21/c 1'
_symmetry_Int_Tables_number 14
_symmetry_space_group_name_Hall '-P 2ybc'
_cell_length_a 9.281
_cell_length_b 5.249
_cell_length_c 17.663
_cell_angle_alpha 90.00
_cell_angle_beta 117.00
_cell_angle_gamma 90.00
loop_
_atom_site_label
_atom_site_type_symbol
_atom_site_fract_x
_atom_site_fract_y
_atom_site_fract_z
Ca1 Ca 0.000 0.000 0.000
Ca2 Ca 0.315 0.040 0.270
Mn1 Mn 0.192 0.516 0.378
Mn2 Mn 0.500 0.000 0.500
As1 As 0.038 0.506 0.157
As2 As 0.437 0.508 0.599
O1 O 0.033 0.666 0.641
O2 O 0.092 0.162 0.592
O3 O 0.149 0.584 0.852
O4 O 0.185 0.059 0.759
O5 O 0.256 0.554 0.510
O6 O 0.421 0.194 0.915
O7 O 0.436 0.615 0.690
O8 O 0.494 0.699 0.894
```


For MgV2O5, a GGA+U-relaxed structure gives the calculated powder diffraction line list in this record (Cu Kα).
Peak positions follow from Bragg's law for the DFT cell and can differ from measured ones.

Principal peaks in the range 2θ from 10° to 80°, sorted by position:
Position (°2θ)  I/Imax  index
18.10  100  0 0 1
23.77  28  0 2 1
27.10  39  1 1 0
29.42  59  0 3 1
30.83  25  0 4 0
31.84  73  1 0 1
34.96  43  1 3 0
46.99  21  0 6 0
48.26  25  1 2 2
53.41  28  2 0 0
55.96  23  1 4 2
62.17  18  1 7 0

Cell and atoms:
```
data_MgV2O5
_chemical_formula_sum 'Mg2 V4 O10'
_symmetry_space_group_name_H-M 'P m m n'
_symmetry_Int_Tables_number 59
_cell_length_a 3.431
_cell_length_b 11.602
_cell_length_c 4.901
_cell_angle_alpha 90.00
_cell_angle_beta 90.00
_cell_angle_gamma 90.00
loop_
_symmetry_equiv_pos_as_xyz
'x,y,z'
'-x,-y,-z'
'-x+1/2,-y+1/2,z'
'x+1/2,y+1/2,-z'
'x+1/2,-y,-z'
'-x+1/2,y,z'
'-x,y+1/2,-z'
'x,-y+1/2,z'
loop_
_atom_site_label
_atom_site_type_symbol
_atom_site_fract_x
_atom_site_fract_y
_atom_site_fract_z
Mg1 Mg 0.250 0.250 0.176
V1 V 0.250 0.599 0.393
O1 O 0.250 0.075 0.434
O2 O 0.250 0.635 0.060
O3 O 0.250 0.750 0.575
```


For Na2MgMn4O8, a GGA+U-relaxed structure gives the calculated powder diffraction line list in this record (Cu Kα).
Peak positions follow from Bragg's law for the DFT cell and can differ from measured ones.

Principal peaks in the range 2θ from 10° to 80°, sorted by position:
Position (°2θ)  I/Imax  index
14.69  100  0 1 0
16.35  79  0 1 1
17.88  41  0 1 -1
24.11  36  0 1 -2
31.79  32  0 2 -1
33.04  35  0 2 2
35.41  60  1 0 2
35.58  97  0 0 4
36.22  28  0 2 -2
41.94  67  1 2 0
44.12  62  1 -2 0
63.46  27  2 0 0

Cell and atoms:
```
data_Na2MgMn4O8
_chemical_formula_sum 'Na2 Mg1 Mn4 O8'
_symmetry_space_group_name_H-M 'P 1'
_symmetry_Int_Tables_number 1
_symmetry_space_group_name_Hall 'P 1'
_cell_length_a 2.935
_cell_length_b 6.067
_cell_length_c 10.146
_cell_angle_alpha 84.21
_cell_angle_beta 89.79
_cell_angle_gamma 87.22
loop_
_atom_site_label
_atom_site_type_symbol
_atom_site_fract_x
_atom_site_fract_y
_atom_site_fract_z
Na1 Na 0.000 0.000 0.000
Na2 Na 0.004 0.139 0.401
Mg1 Mg 0.481 0.825 0.714
Mn1 Mn 0.001 0.501 0.975
Mn2 Mn 0.487 0.735 0.248
Mn3 Mn 0.497 0.301 0.745
Mn4 Mn 0.999 0.576 0.510
O1 O 0.006 0.529 0.305
O2 O 0.044 0.565 0.751
O3 O 0.484 0.793 0.513
O4 O 0.487 0.690 0.016
O5 O 0.512 0.354 0.550
O6 O 0.513 0.295 0.943
O7 O 0.946 0.049 0.751
O8 O 0.965 0.943 0.222
```


Please write out number 4 again, unchanged.
For Na2MgMn4O8, a GGA+U-relaxed structure gives the calculated powder diffraction line list in this record (Cu Kα).
Peak positions follow from Bragg's law for the DFT cell and can differ from measured ones.

Principal peaks in the range 2θ from 10° to 80°, sorted by position:
Position (°2θ)  I/Imax  index
14.69  100  0 1 0
16.35  79  0 1 1
17.88  41  0 1 -1
24.11  36  0 1 -2
31.79  32  0 2 -1
33.04  35  0 2 2
35.41  60  1 0 2
35.58  97  0 0 4
36.22  28  0 2 -2
41.94  67  1 2 0
44.12  62  1 -2 0
63.46  27  2 0 0

Cell and atoms:
```
data_Na2MgMn4O8
_chemical_formula_sum 'Na2 Mg1 Mn4 O8'
_symmetry_space_group_name_H-M 'P 1'
_symmetry_Int_Tables_number 1
_symmetry_space_group_name_Hall 'P 1'
_cell_length_a 2.935
_cell_length_b 6.067
_cell_length_c 10.146
_cell_angle_alpha 84.21
_cell_angle_beta 89.79
_cell_angle_gamma 87.22
loop_
_atom_site_label
_atom_site_type_symbol
_atom_site_fract_x
_atom_site_fract_y
_atom_site_fract_z
Na1 Na 0.000 0.000 0.000
Na2 Na 0.004 0.139 0.401
Mg1 Mg 0.481 0.825 0.714
Mn1 Mn 0.001 0.501 0.975
Mn2 Mn 0.487 0.735 0.248
Mn3 Mn 0.497 0.301 0.745
Mn4 Mn 0.999 0.576 0.510
O1 O 0.006 0.529 0.305
O2 O 0.044 0.565 0.751
O3 O 0.484 0.793 0.513
O4 O 0.487 0.690 0.016
O5 O 0.512 0.354 0.550
O6 O 0.513 0.295 0.943
O7 O 0.946 0.049 0.751
O8 O 0.965 0.943 0.222
```